Entry 1:
# Tb6Pm16Ho7
Simulated X-ray diffraction stick pattern, Cu Kα. Input: DFT lattice parameters and positions (PBE).

Main lines, sorted by position (2θ = 10–90°):
Position (°2θ), I_rel, (hkl)
29.1, 10, 3 3 3
31.8, 100, 4 4 0
45.6, 14, 8 0 0
56.6, 27, 8 4 4
66.4, 8, 8 8 0
75.5, 8, 12 4 0

Structural model:
```
data_Tb6Pm16Ho7
_chemical_formula_sum 'Tb24 Pm64 Ho28'
_symmetry_space_group_name_H-M 'F m -3 m'
_symmetry_Int_Tables_number 225
_symmetry_space_group_name_Hall '-F 4 2 3'
_cell_length_a 15.928
_cell_length_b 15.928
_cell_length_c 15.928
_cell_angle_alpha 90.00
_cell_angle_beta 90.00
_cell_angle_gamma 90.00
loop_
_atom_site_label
_atom_site_fract_x
_atom_site_fract_y
_atom_site_fract_z
_atom_site_occupancy
Tb1 0.000 0.000 0.232 1
Pm1 0.125 0.125 0.375 1
Pm2 0.150 0.150 0.150 1
Ho1 0.000 0.000 0.500 1
Ho2 0.000 0.250 0.250 1
```


Entry 2:
# Ta6MoRh5
Simulated X-ray diffraction stick pattern, Cu Kα. Input: DFT lattice parameters and positions (PBE).

Main lines, sorted by position (2θ = 10–90°):
Position (°2θ), I_rel, (hkl)
38.8, 49, 2 0 -1
39.0, 100, 1 2 1
39.3, 50, 0 0 3
42.7, 78, 1 2 -2
50.5, 23, 2 0 2
61.9, 25, 0 4 0

Structural model:
```
data_Ta6MoRh5
_chemical_formula_sum 'Ta6 Mo1 Rh5'
_symmetry_space_group_name_H-M 'P 1 2/m 1'
_symmetry_Int_Tables_number 10
_symmetry_space_group_name_Hall '-P 2y'
_cell_length_a 4.723
_cell_length_b 6.000
_cell_length_c 6.963
_cell_angle_alpha 90.00
_cell_angle_beta 98.73
_cell_angle_gamma 90.00
loop_
_atom_site_label
_atom_site_fract_x
_atom_site_fract_y
_atom_site_fract_z
_atom_site_occupancy
Ta1 0.000 0.248 0.000 1
Ta2 0.354 0.251 0.666 1
Mo1 0.500 0.500 0.000 1
Rh1 0.136 0.500 0.332 1
Rh2 0.149 0.000 0.334 1
Rh3 0.500 0.000 0.000 1
```


Entry 3:
# LiUTc2
Simulated X-ray diffraction stick pattern, Cu Kα. Input: DFT lattice parameters and positions (PBE).

Main lines, sorted by position (2θ = 10–90°):
Position (°2θ), I_rel, (hkl)
21.1, 64, 1 0 0
33.1, 42, 1 0 1
39.6, 100, 1 1 1
42.9, 40, 2 0 0
55.2, 21, 2 1 1
76.4, 30, 3 1 1

Structural model:
```
data_LiUTc2
_chemical_formula_sum 'Li1 U1 Tc2'
_symmetry_space_group_name_H-M 'P 4/m m m'
_symmetry_Int_Tables_number 123
_symmetry_space_group_name_Hall '-P 4 2'
_cell_length_a 4.214
_cell_length_b 4.214
_cell_length_c 3.535
_cell_angle_alpha 90.00
_cell_angle_beta 90.00
_cell_angle_gamma 90.00
loop_
_atom_site_label
_atom_site_fract_x
_atom_site_fract_y
_atom_site_fract_z
_atom_site_occupancy
Li1 0.000 0.000 0.000 1
U1 0.500 0.500 0.000 1
Tc1 0.000 0.500 0.500 1
```


Entry 4:
# Hf3Zn3Cu
Simulated X-ray diffraction stick pattern, Cu Kα. Input: DFT lattice parameters and positions (PBE).

Main lines, sorted by position (2θ = 10–90°):
Position (°2θ), I_rel, (hkl)
25.7, 29, 0 1 3
36.7, 100, 1 1 2
37.4, 56, 1 0 5
40.6, 69, 0 1 7
43.0, 31, 0 2 0
58.3, 31, 1 2 5

Structural model:
```
data_Hf3Zn3Cu
_chemical_formula_sum 'Hf6 Zn6 Cu2'
_symmetry_space_group_name_H-M 'I m m 2'
_symmetry_Int_Tables_number 44
_symmetry_space_group_name_Hall 'I 2 -2'
_cell_length_a 3.187
_cell_length_b 4.204
_cell_length_c 18.342
_cell_angle_alpha 90.00
_cell_angle_beta 90.00
_cell_angle_gamma 90.00
loop_
_atom_site_label
_atom_site_fract_x
_atom_site_fract_y
_atom_site_fract_z
_atom_site_occupancy
Hf1 0.000 0.000 0.000 1
Hf2 0.000 0.000 0.403 1
Hf3 0.000 0.500 0.207 1
Zn1 0.000 0.000 0.563 1
Zn2 0.000 0.000 0.844 1
Zn3 0.000 0.500 0.637 1
Cu1 0.000 0.500 0.771 1
```


Entry 5:
# Sc4Ag3Pb
Simulated X-ray diffraction stick pattern, Cu Kα. Input: DFT lattice parameters and positions (PBE).

Main lines, sorted by position (2θ = 10–90°):
Position (°2θ), I_rel, (hkl)
25.5, 63, 1 0 4
36.2, 100, 0 1 8
36.6, 100, 1 1 0
52.4, 33, 2 0 8
65.6, 33, 1 2 8
65.8, 17, 3 0 0

Structural model:
```
data_Sc4Ag3Pb
_chemical_formula_sum 'Sc12 Ag9 Pb3'
_symmetry_space_group_name_H-M 'R -3 m'
_symmetry_Int_Tables_number 166
_symmetry_space_group_name_Hall '-R 3 2"'
_cell_length_a 4.9138
_cell_length_b 4.9138
_cell_length_c 24.4227
_cell_angle_alpha 90.00
_cell_angle_beta 90.00
_cell_angle_gamma 120.00
loop_
_atom_site_label
_atom_site_fract_x
_atom_site_fract_y
_atom_site_fract_z
_atom_site_occupancy
Sc1 0.0000 0.0000 0.1210 1
Sc2 0.0000 0.0000 0.3719 1
Ag1 0.0000 0.0000 0.0000 1
Ag2 0.0000 0.0000 0.2543 1
Pb1 0.0000 0.0000 0.5000 1
```


Entry 6:
# MoCl6
Simulated X-ray diffraction stick pattern, Cu Kα. Input: DFT lattice parameters and positions (PBE).

Main lines, sorted by position (2θ = 10–90°):
Position (°2θ), I_rel, (hkl)
15.7, 100, 1 1 0
17.4, 55, 1 0 1
23.5, 18, 0 2 1
31.2, 59, 0 3 1
41.0, 32, 0 3 2
48.3, 18, 3 3 0

Structural model:
```
data_MoCl6
_chemical_formula_sum 'Mo3 Cl18'
_symmetry_space_group_name_H-M 'P -3 m 1'
_symmetry_Int_Tables_number 164
_symmetry_space_group_name_Hall '-P 3 2"'
_cell_length_a 11.3070
_cell_length_b 11.3070
_cell_length_c 5.9578
_cell_angle_alpha 90.00
_cell_angle_beta 90.00
_cell_angle_gamma 120.00
loop_
_atom_site_label
_atom_site_fract_x
_atom_site_fract_y
_atom_site_fract_z
_atom_site_occupancy
Mo1 0.0000 0.0000 0.0000 1
Mo2 0.3333 0.6667 0.5048 1
Cl1 0.0964 0.1927 0.7757 1
Cl2 0.1406 0.5703 0.7290 1
Cl3 0.2370 0.4739 0.2806 1
```


Entry 7:
# Na6MgCd2
Simulated X-ray diffraction stick pattern, Cu Kα. Input: DFT lattice parameters and positions (PBE).

Main lines, sorted by position (2θ = 10–90°):
Position (°2θ), I_rel, (hkl)
10.7, 52, 2 0 0
18.6, 65, 3 1 0
32.5, 81, 6 0 0
33.4, 100, 3 1 1
47.2, 36, 6 2 1
58.5, 37, 9 1 1

Structural model:
```
data_Na6MgCd2
_chemical_formula_sum 'Na12 Mg2 Cd4'
_symmetry_space_group_name_H-M 'C 1 2/m 1'
_symmetry_Int_Tables_number 12
_symmetry_space_group_name_Hall '-C 2y'
_cell_length_a 16.540
_cell_length_b 9.551
_cell_length_c 3.248
_cell_angle_alpha 90.00
_cell_angle_beta 90.01
_cell_angle_gamma 90.00
loop_
_atom_site_label
_atom_site_fract_x
_atom_site_fract_y
_atom_site_fract_z
_atom_site_occupancy
Na1 0.000 0.164 0.000 1
Na2 0.168 0.332 0.002 1
Mg1 0.000 0.500 0.500 1
Cd1 0.167 0.000 0.500 1
```


Entry 8:
# Pm2P4Pd5
Simulated X-ray diffraction stick pattern, Cu Kα. Input: DFT lattice parameters and positions (PBE).

Main lines, sorted by position (2θ = 10–90°):
Position (°2θ), I_rel, (hkl)
26.4, 75, 1 1 3
31.3, 69, 0 2 4
35.7, 44, 0 4 0
36.3, 100, 2 2 0
36.7, 67, 1 3 3
41.0, 54, 2 0 4

Structural model:
```
data_Pm2P4Pd5
_chemical_formula_sum 'Pm8 P16 Pd20'
_symmetry_space_group_name_H-M 'F m m m'
_symmetry_Int_Tables_number 69
_symmetry_space_group_name_Hall '-F 2 2'
_cell_length_a 5.687
_cell_length_b 10.062
_cell_length_c 13.892
_cell_angle_alpha 90.00
_cell_angle_beta 90.00
_cell_angle_gamma 90.00
loop_
_atom_site_label
_atom_site_fract_x
_atom_site_fract_y
_atom_site_fract_z
_atom_site_occupancy
Pm1 0.000 0.000 0.146 1
P1 0.000 0.149 0.369 1
Pd1 0.000 0.000 0.500 1
Pd2 0.250 0.250 0.000 1
Pd3 0.250 0.250 0.250 1
```